For Tm2NiSn6, a PBE-relaxed structure gives the calculated powder diffractogram in this record (CuKα).
Intensities are scaled so that the largest is 1000.

Peak list (10 most intense, 2θ from 15° to 90°, low angle first)
hkl 1 3 1, 2θ 31.17, 2.869 Å, intensity 574; hkl 0 8 0, 2θ 32.08, 2.790 Å, intensity 306; hkl 1 5 1, 2θ 35.17, 2.552 Å, intensity 1000; hkl 0 0 2, 2θ 40.83, 2.210 Å, intensity 283; hkl 2 0 0, 2θ 41.26, 2.188 Å, intensity 275; hkl 0 8 2, 2θ 52.84, 1.733 Å, intensity 171; hkl 2 8 0, 2θ 53.20, 1.722 Å, intensity 152; hkl 2 0 2, 2θ 59.45, 1.555 Å, intensity 191; hkl 2 8 2, 2θ 69.17, 1.358 Å, intensity 143; hkl 1 5 3, 2θ 70.69, 1.333 Å, intensity 136

Atomic structure:
```
data_Tm2NiSn6
_chemical_formula_sum 'Tm4 Ni2 Sn12'
_cell_length_a 4.376
_cell_length_b 22.322
_cell_length_c 4.420
_cell_angle_alpha 90.00
_cell_angle_beta 90.00
_cell_angle_gamma 90.00
_space_group_name_H-M_alt 'C m m m'
_space_group_IT_number 65
_space_group_name_Hall '-C 2 2'
loop_
_atom_site_label
_atom_site_type_symbol
_atom_site_fract_x
_atom_site_fract_y
_atom_site_fract_z
_atom_site_occupancy
Tm1 Tm 0.000 0.179 0.000 1
Ni1 Ni 0.000 0.500 0.500 1
Sn1 Sn 0.000 0.071 0.500 1
Sn2 Sn 0.000 0.297 0.500 1
Sn3 Sn 0.000 0.430 0.000 1
```